No. 1
Starting from a DFT-relaxed cell (GGA-PBE, Alexandria), the XRD peak list of CeSmPu2Sb4 was calculated for CuKα.

Main lines, sorted by position (2θ = 15–90°):
- hkl 1 1 1, d 3.154, intensity 100
- hkl 0 2 0, d 2.232, intensity 39
- hkl 2 0 2, d 2.228, intensity 38
- hkl 0 0 4, d 1.822, intensity 21
- hkl 1 3 1, d 1.412, intensity 18
- hkl 4 2 0, d 1.410, intensity 18

Crystal structure
```
data_CeSmPu2Sb4
_chemical_formula_sum 'Ce1 Sm1 Pu2 Sb4'
_cell_length_a 7.7131
_cell_length_b 4.4677
_cell_length_c 7.7276
_cell_angle_alpha 90.00
_cell_angle_beta 109.49
_cell_angle_gamma 90.00
_space_group_name_H-M_alt 'P 1 2/m 1'
_space_group_IT_number 10
loop_
_space_group_symop_operation_xyz
'x,y,z'
'-x,-y,-z'
'-x,y,-z'
'x,-y,z'
loop_
_atom_site_label
_atom_site_type_symbol
_atom_site_fract_x
_atom_site_fract_y
_atom_site_fract_z
_atom_site_occupancy
Ce1 Ce 0.0000 0.0000 0.0000 1
Sm1 Sm 0.0000 0.5000 0.5000 1
Pu1 Pu 0.5000 0.0000 0.5000 1
Pu2 Pu 0.5000 0.5000 0.0000 1
Sb1 Sb 0.2532 0.5000 0.2509 1
Sb2 Sb 0.2539 0.0000 0.7519 1
```

No. 2
Starting from a DFT-relaxed cell (GGA-PBE, Alexandria), the XRD peak list of Na2Mn2Se3 was calculated for CuKα.

Main lines, sorted by position (2θ = 15–90°):
- hkl 1 3 -1, d 3.936, intensity 76
- hkl 2 0 -2, d 3.666, intensity 65
- hkl 4 0 0, d 3.457, intensity 56
- hkl 1 3 1, d 3.425, intensity 90
- hkl 2 4 1, d 2.608, intensity 51
- hkl 3 3 -3, d 2.165, intensity 100

Crystal structure
```
data_Na2Mn2Se3
_chemical_formula_sum 'Na16 Mn16 Se24'
_cell_length_a 15.6104
_cell_length_b 13.9967
_cell_length_c 7.3321
_cell_angle_alpha 90.00
_cell_angle_beta 117.65
_cell_angle_gamma 90.00
_space_group_name_H-M_alt 'C 1 2/c 1'
_space_group_IT_number 15
loop_
_space_group_symop_operation_xyz
'x,y,z'
'-x,-y,-z'
'-x,y,-z+1/2'
'x,-y,z+1/2'
'x+1/2,y+1/2,z'
'-x+1/2,-y+1/2,-z'
'-x+1/2,y+1/2,-z+1/2'
'x+1/2,-y+1/2,z+1/2'
loop_
_atom_site_label
_atom_site_type_symbol
_atom_site_fract_x
_atom_site_fract_y
_atom_site_fract_z
_atom_site_occupancy
Na1 Na 0.0000 0.0698 0.2500 1
Na2 Na 0.0000 0.2191 0.7500 1
Na3 Na 0.1067 0.4157 0.6474 1
Mn1 Mn 0.1823 0.2360 0.2591 1
Mn2 Mn 0.2108 0.0769 0.7973 1
Se1 Se 0.1112 0.3847 0.0490 1
Se2 Se 0.1343 0.2192 0.5504 1
Se3 Se 0.1474 0.0748 0.0674 1
```

No. 3
Starting from a DFT-relaxed cell (GGA-PBE, Alexandria), the XRD peak list of Li4AlTl3 was calculated for CuKα.

Main lines, sorted by position (2θ = 15–90°):
- hkl 0 2 0, d 3.471, intensity 100
- hkl 0 0 2, d 3.258, intensity 68
- hkl 2 2 -1, d 2.455, intensity 46
- hkl 2 0 -3, d 2.377, intensity 81
- hkl 2 2 -3, d 1.961, intensity 54
- hkl 4 2 -4, d 1.402, intensity 31

Crystal structure
```
data_Li4AlTl3
_chemical_formula_sum 'Li8 Al2 Tl6'
_cell_length_a 6.9475
_cell_length_b 6.9382
_cell_length_c 7.3880
_cell_angle_alpha 90.00
_cell_angle_beta 118.04
_cell_angle_gamma 90.00
_space_group_name_H-M_alt 'C 1 2/m 1'
_space_group_IT_number 12
loop_
_space_group_symop_operation_xyz
'x,y,z'
'-x,-y,-z'
'-x,y,-z'
'x,-y,z'
'x+1/2,y+1/2,z'
'-x+1/2,-y+1/2,-z'
'-x+1/2,y+1/2,-z'
'x+1/2,-y+1/2,z'
loop_
_atom_site_label
_atom_site_type_symbol
_atom_site_fract_x
_atom_site_fract_y
_atom_site_fract_z
_atom_site_occupancy
Li1 Li 0.1306 0.2493 0.2593 1
Al1 Al 0.0000 0.5000 0.5000 1
Tl1 Tl 0.0000 0.0000 0.5000 1
Tl2 Tl 0.2396 0.5000 0.9810 1
```

Q: What is the formula in the third record?
A: Li4AlTl3